For U2Fe15Ge2, a crystal structure in the Materials Project, relaxed with GGA-PBE gives the simulated powder XRD pattern in this record (Cu Ka).
Intensities are scaled so that the largest is 1000.

Lattice parameters (Å, degrees): 8.352 8.352 8.540 90.00 90.00 120.16
Element x y z (fractional)
U 0.000 0.000 0.250
U 0.000 0.000 0.750
U 0.333 0.667 0.750
U 0.667 0.333 0.250
Fe 0.000 0.500 0.000
Fe 0.000 0.500 0.500
Fe 0.021 0.353 0.250
Fe 0.022 0.668 0.250
Fe 0.164 0.328 0.510
Fe 0.164 0.328 0.990
Fe 0.164 0.836 0.510
Fe 0.164 0.836 0.990
Fe 0.328 0.164 0.010
Fe 0.328 0.164 0.490
Fe 0.332 0.353 0.250
Fe 0.332 0.978 0.250
Fe 0.353 0.021 0.750
Fe 0.353 0.332 0.750
Fe 0.500 0.000 0.000
Fe 0.500 0.000 0.500
Fe 0.500 0.500 0.000
Fe 0.500 0.500 0.500
Fe 0.647 0.668 0.250
Fe 0.647 0.979 0.250
Fe 0.668 0.022 0.750
Fe 0.668 0.647 0.750
Fe 0.672 0.836 0.510
Fe 0.672 0.836 0.990
Fe 0.836 0.164 0.010
Fe 0.836 0.164 0.490
Fe 0.836 0.672 0.010
Fe 0.836 0.672 0.490
Fe 0.978 0.332 0.750
Fe 0.979 0.647 0.750
Ge 0.333 0.667 0.100
Ge 0.333 0.667 0.400
Ge 0.667 0.333 0.600
Ge 0.667 0.333 0.900

Largest 10 diffraction maxima, by intensity, 10° ≤ 2θ ≤ 90°:
2θ/deg  I_rel
43.11  1000
29.94  532
37.33  522
43.33  365
42.33  301
40.33  256
77.97  233
21.29  212
46.05  200
62.22  184

For UFe2Ge2, a crystal structure in the Materials Project, relaxed with GGA-PBE gives the simulated powder XRD pattern in this record (Cu Ka).
Intensities are scaled so that the largest is 1000.

Lattice parameters (Å, degrees): 4.032 4.032 9.519 90.00 90.00 90.00
Element x y z (fractional)
U 0.000 0.000 0.000
U 0.500 0.500 0.500
Fe 0.000 0.500 0.250
Fe 0.000 0.500 0.750
Fe 0.500 0.000 0.250
Fe 0.500 0.000 0.750
Ge 0.000 0.000 0.370
Ge 0.000 0.000 0.630
Ge 0.500 0.500 0.130
Ge 0.500 0.500 0.870

Largest 10 diffraction maxima, by intensity, 10° ≤ 2θ ≤ 90°:
2θ/deg  I_rel
36.02  1000
36.75  903
44.96  556
58.91  490
31.37  407
23.97  350
53.21  279
72.15  232
77.50  207
67.57  187

For U2Fe3Ge, a crystal structure in the Materials Project, relaxed with GGA-PBE gives the simulated powder XRD pattern in this record (Cu Ka).
Intensities are scaled so that the largest is 1000.

Lattice parameters (Å, degrees): 5.140 5.140 7.857 90.00 90.00 120.00
Element x y z (fractional)
U 0.333 0.667 0.078
U 0.333 0.667 0.422
U 0.667 0.333 0.578
U 0.667 0.333 0.922
Fe 0.171 0.341 0.750
Fe 0.171 0.829 0.750
Fe 0.341 0.171 0.250
Fe 0.659 0.829 0.750
Fe 0.829 0.171 0.250
Fe 0.829 0.659 0.250
Ge 0.000 0.000 0.000
Ge 0.000 0.000 0.500

Largest 10 diffraction maxima, by intensity, 10° ≤ 2θ ≤ 90°:
2θ/deg  I_rel
39.94  1000
34.91  802
42.01  647
42.20  490
66.00  452
22.96  344
73.76  337
87.31  235
19.95  219
62.63  212

For V2FeGe, a crystal structure in the Materials Project, relaxed with GGA-PBE gives the simulated powder XRD pattern in this record (Cu Ka).
Intensities are scaled so that the largest is 1000.

Lattice parameters (Å, degrees): 4.622 6.616 6.601 90.00 90.00 90.00
Element x y z (fractional)
V 0.000 0.000 0.000
V 0.000 0.500 0.500
V 0.250 0.117 0.625
V 0.250 0.617 0.125
V 0.500 0.000 0.000
V 0.500 0.500 0.500
V 0.750 0.383 0.125
V 0.750 0.883 0.625
Fe 0.250 0.371 0.881
Fe 0.250 0.871 0.381
Fe 0.750 0.129 0.381
Fe 0.750 0.629 0.881
Ge 0.250 0.244 0.255
Ge 0.250 0.744 0.755
Ge 0.750 0.256 0.755
Ge 0.750 0.756 0.255

Largest 10 diffraction maxima, by intensity, 10° ≤ 2θ ≤ 90°:
2θ/deg  I_rel
47.76  1000
43.39  454
38.53  436
48.04  429
43.69  423
43.29  416
38.97  243
76.87  227
76.43  216
82.58  140

For YFe2Ge2, a crystal structure in the Materials Project, relaxed with GGA-PBE gives the simulated powder XRD pattern in this record (Cu Ka).
Intensities are scaled so that the largest is 1000.

Lattice parameters (Å, degrees): 3.983 3.983 10.188 90.00 90.00 90.00
Element x y z (fractional)
Y 0.000 0.000 0.000
Y 0.500 0.500 0.500
Fe 0.000 0.500 0.250
Fe 0.000 0.500 0.750
Fe 0.500 0.000 0.250
Fe 0.500 0.000 0.750
Ge 0.000 0.000 0.372
Ge 0.000 0.000 0.628
Ge 0.500 0.500 0.128
Ge 0.500 0.500 0.872

Largest 10 diffraction maxima, by intensity, 10° ≤ 2θ ≤ 90°:
2θ/deg  I_rel
34.71  1000
36.46  871
45.55  714
58.52  428
48.17  294
50.30  288
31.77  231
66.39  219
70.18  206
64.03  190

For YFe6Ge6, a crystal structure in the Materials Project, relaxed with GGA-PBE gives the simulated powder XRD pattern in this record (Cu Ka).
Intensities are scaled so that the largest is 1000.

Lattice parameters (Å, degrees): 9.710 9.710 5.112 90.00 90.00 130.55
Element x y z (fractional)
Y 0.127 0.873 0.750
Y 0.873 0.127 0.250
Fe 0.000 0.500 0.000
Fe 0.000 0.500 0.500
Fe 0.125 0.376 0.750
Fe 0.250 0.250 0.000
Fe 0.250 0.250 0.500
Fe 0.376 0.125 0.250
Fe 0.500 0.000 0.000
Fe 0.500 0.000 0.500
Fe 0.624 0.875 0.750
Fe 0.750 0.750 0.000
Fe 0.750 0.750 0.500
Fe 0.875 0.624 0.250
Ge 0.042 0.958 0.250
Ge 0.211 0.789 0.250
Ge 0.222 0.471 0.250
Ge 0.295 0.705 0.750
Ge 0.459 0.541 0.750
Ge 0.471 0.222 0.750
Ge 0.529 0.778 0.250
Ge 0.541 0.459 0.250
Ge 0.705 0.295 0.250
Ge 0.778 0.529 0.750
Ge 0.789 0.211 0.750
Ge 0.958 0.042 0.750

Largest 10 diffraction maxima, by intensity, 10° ≤ 2θ ≤ 90°:
2θ/deg  I_rel
41.82  1000
46.78  491
35.22  467
40.79  439
80.28  275
44.62  262
46.89  245
35.11  237
49.36  219
74.46  212

For ZrFeGe2, a crystal structure in the Materials Project, relaxed with GGA-PBE gives the simulated powder XRD pattern in this record (Cu Ka).
Intensities are scaled so that the largest is 1000.

Lattice parameters (Å, degrees): 9.233 10.240 7.989 90.00 90.00 90.00
Element x y z (fractional)
Zr 0.164 0.178 0.000
Zr 0.173 0.451 0.246
Zr 0.173 0.451 0.754
Zr 0.327 0.951 0.246
Zr 0.327 0.951 0.754
Zr 0.336 0.678 0.000
Zr 0.664 0.322 0.000
Zr 0.673 0.049 0.246
Zr 0.673 0.049 0.754
Zr 0.827 0.549 0.246
Zr 0.827 0.549 0.754
Zr 0.836 0.822 0.000
Fe 0.000 0.000 0.246
Fe 0.000 0.000 0.754
Fe 0.092 0.748 0.249
Fe 0.092 0.748 0.751
Fe 0.408 0.248 0.249
Fe 0.408 0.248 0.751
Fe 0.500 0.500 0.246
Fe 0.500 0.500 0.754
Fe 0.592 0.752 0.249
Fe 0.592 0.752 0.751
Fe 0.908 0.252 0.249
Fe 0.908 0.252 0.751
Ge 0.040 0.621 0.000
Ge 0.053 0.621 0.500
Ge 0.123 0.899 0.500
Ge 0.129 0.897 0.000
Ge 0.157 0.181 0.344
Ge 0.157 0.181 0.656
Ge 0.343 0.681 0.344
Ge 0.343 0.681 0.656
Ge 0.371 0.397 0.000
Ge 0.377 0.399 0.500
Ge 0.447 0.121 0.500
Ge 0.460 0.121 0.000
Ge 0.540 0.879 0.000
Ge 0.553 0.879 0.500
Ge 0.623 0.601 0.500
Ge 0.629 0.603 0.000
Ge 0.657 0.319 0.344
Ge 0.657 0.319 0.656
Ge 0.843 0.819 0.344
Ge 0.843 0.819 0.656
Ge 0.871 0.103 0.000
Ge 0.877 0.101 0.500
Ge 0.947 0.379 0.500
Ge 0.960 0.379 0.000

Largest 10 diffraction maxima, by intensity, 10° ≤ 2θ ≤ 90°:
2θ/deg  I_rel
37.94  1000
39.85  998
39.41  816
41.91  628
40.05  622
36.42  576
45.41  422
67.12  239
39.03  182
80.11  168

For Fe3H, a crystal structure in the Materials Project, relaxed with GGA-PBE gives the simulated powder XRD pattern in this record (Cu Ka).
Intensities are scaled so that the largest is 1000.

Lattice parameters (Å, degrees): 5.153 5.153 3.613 90.00 90.00 120.00
Element x y z (fractional)
Fe 0.173 0.345 0.250
Fe 0.173 0.827 0.250
Fe 0.345 0.173 0.750
Fe 0.655 0.827 0.250
Fe 0.827 0.173 0.750
Fe 0.827 0.655 0.750
H 0.333 0.667 0.750
H 0.667 0.333 0.250

Largest 10 diffraction maxima, by intensity, 10° ≤ 2θ ≤ 90°:
2θ/deg  I_rel
47.92  1000
31.87  421
40.43  283
50.52  190
34.82  180
73.52  160
66.61  113
19.90  103
60.59  67
62.82  58

For Fe3H, a crystal structure in the Materials Project, relaxed with GGA-PBE gives the simulated powder XRD pattern in this record (Cu Ka).
Intensities are scaled so that the largest is 1000.

Lattice parameters (Å, degrees): 3.481 3.481 6.359 90.00 90.00 90.00
Element x y z (fractional)
Fe 0.000 0.000 0.000
Fe 0.000 0.500 0.250
Fe 0.000 0.500 0.750
Fe 0.500 0.000 0.250
Fe 0.500 0.000 0.750
Fe 0.500 0.500 0.500
H 0.000 0.000 0.500
H 0.500 0.500 0.000

Largest 10 diffraction maxima, by intensity, 10° ≤ 2θ ≤ 90°:
2θ/deg  I_rel
46.67  1000
29.25  403
52.59  340
82.12  164
58.02  123
28.07  112
36.51  110
77.58  96
61.31  88
50.41  83

For LaFe5H2, a crystal structure in the Materials Project, relaxed with GGA-PBE gives the simulated powder XRD pattern in this record (Cu Ka).
Intensities are scaled so that the largest is 1000.

Lattice parameters (Å, degrees): 5.165 9.004 4.150 90.00 90.00 90.00
Element x y z (fractional)
La 0.000 0.000 0.000
La 0.500 0.500 0.000
Fe 0.000 0.337 0.000
Fe 0.000 0.500 0.500
Fe 0.000 0.663 0.000
Fe 0.250 0.250 0.500
Fe 0.250 0.750 0.500
Fe 0.500 0.000 0.500
Fe 0.500 0.163 0.000
Fe 0.500 0.837 0.000
Fe 0.750 0.250 0.500
Fe 0.750 0.750 0.500
H 0.000 0.133 0.500
H 0.000 0.867 0.500
H 0.500 0.367 0.500
H 0.500 0.633 0.500

Largest 10 diffraction maxima, by intensity, 10° ≤ 2θ ≤ 90°:
2θ/deg  I_rel
41.02  1000
29.31  693
41.17  481
43.61  393
40.26  356
34.56  304
66.55  220
60.85  200
88.97  181
40.06  160

For LaFe5H12, a crystal structure in the Materials Project, relaxed with GGA-PBE gives the simulated powder XRD pattern in this record (Cu Ka).
Intensities are scaled so that the largest is 1000.

Lattice parameters (Å, degrees): 5.757 5.757 4.273 90.00 90.00 120.00
Element x y z (fractional)
La 0.000 0.000 0.000
Fe 0.000 0.500 0.500
Fe 0.333 0.667 0.000
Fe 0.500 0.000 0.500
Fe 0.500 0.500 0.500
Fe 0.667 0.333 0.000
H 0.213 0.425 0.262
H 0.213 0.425 0.738
H 0.213 0.787 0.262
H 0.213 0.787 0.738
H 0.425 0.213 0.262
H 0.425 0.213 0.738
H 0.575 0.787 0.262
H 0.575 0.787 0.738
H 0.787 0.213 0.262
H 0.787 0.213 0.738
H 0.787 0.575 0.262
H 0.787 0.575 0.738

Largest 10 diffraction maxima, by intensity, 10° ≤ 2θ ≤ 90°:
2θ/deg  I_rel
37.68  1000
27.49  440
36.03  354
31.07  323
59.70  245
42.31  210
56.75  197
80.46  182
64.77  177
53.41  140